Diffraction record for AlSi3O8. The XRD peak list is theoretical, not measured: it uses the GGA-PBE geometry in the Materials Project and Cu Kα (λ = 1.5418 Å).
Neutral-atom scattering factors, no anomalous dispersion.

Principal peaks in the range 10 to 80 degrees two-theta, low angle first:
- 14.2 deg, intensity 44, (0 1 1)
- 19.9 deg, intensity 44, (0 2 0)
- 20.3 deg, intensity 100, (0 0 2)
- 20.5 deg, intensity 62, (1 1 0)
- 20.6 deg, intensity 19, (1 0 1)
- 22.9 deg, intensity 34, (1 1 -1)
- 26.9 deg, intensity 74, (1 2 0)
- 29.0 deg, intensity 16, (1 1 -2)

Cell and atoms:
```
AlSi3O8
1.0
4.973 0.000 0.000
0.000 8.904 0.000
-0.027 0.000 8.728
Al Si O
2 6 16
Cartesian
0.531 0.000 0.602
4.415 4.452 8.126
0.681 8.900 3.854
1.744 5.986 3.821
1.913 6.015 0.671
3.033 1.562 8.057
3.202 1.534 4.907
4.265 4.447 4.874
0.234 8.887 2.311
0.560 4.872 3.932
0.890 4.785 0.369
1.192 7.424 4.363
1.252 7.382 0.125
1.664 1.244 0.092
1.898 1.074 4.058
2.208 6.147 2.269
2.738 1.695 6.459
3.048 5.526 4.670
3.282 5.696 8.637
3.694 2.930 8.603
3.754 2.972 4.365
4.056 0.332 8.359
4.386 0.420 4.796
4.712 4.435 6.417
```